Diffraction record for Cs2NpVO6. The powder diffractogram is theoretical, not measured: it uses the PBE+U geometry in Alexandria and Cu Kα.
Neutral-atom scattering factors, no anomalous dispersion.

Main lines, in order of rising 2θ (2θ from 10° to 90°):
17.50 deg, d 5.069, I 31
27.14 deg, d 3.286, I 100
30.73 deg, d 2.909, I 22
31.78 deg, d 2.815, I 31
44.80 deg, d 2.023, I 20
45.56 deg, d 1.991, I 18
52.48 deg, d 1.744, I 17
53.84 deg, d 1.703, I 30
55.97 deg, d 1.643, I 15
71.99 deg, d 1.312, I 13

Structural model:
Cell: 7.050 7.050 7.050 Å, 132.93 132.93 68.77°
Element x y z (fractional)
Cs  0.000  0.500  0.500
Cs  0.500  0.000  0.500
Np  0.237  0.237  0.000
V  0.768  0.768  0.000
O  0.405  0.405  0.000
O  0.482  0.482  0.515
O  0.482  0.966  0.000
O  0.914  0.914  0.000
O  0.966  0.482  0.000
O  0.966  0.966  0.485